The following is a simulated powder X-ray diffraction pattern of LiThGe2Pd. It was derived from DFT lattice parameters and positions (PBE), using Cu Ka.
Peak positions follow from Bragg's law for the DFT cell and can differ from measured ones.

Principal peaks in the range 2θ from 10° to 90°, in order of rising 2θ:
d/Å	Position (°2θ)	I_rel
5.387	16.45	18
3.900	22.80	52
2.958	30.21	39
2.725	32.87	99
2.593	34.59	100
2.092	43.25	51
1.916	47.46	45
1.659	55.37	45
1.413	66.14	34
1.285	73.74	23

Crystal structure
Cell: 4.184 4.184 10.775 Å, 90.00 90.00 90.00°
Space group I-4m2 (No. 119)
Asymmetric unit:
Li 0.000 0.000 0.000
Th 0.000 0.500 0.250
Ge 0.000 0.500 0.634
Pd 0.000 0.000 0.500